Structure and simulated XRD peak list of MgRe3S4O11 (a crystal structure in the Materials Project, relaxed with GGA-PBE; Cu Kα, 1.54184 Å).
Kinematic intensities with the Lorentz-polarization factor, no thermal factor.

Largest 8 diffraction maxima, sorted by position, 2θ = 10–80°:
Position (°2θ), I_rel
10.81, 59
11.35, 100
13.60, 31
13.83, 32
23.20, 27
26.78, 34
27.30, 23
32.41, 23

Structural model:
a = 8.4253 Å, b = 8.6060 Å, c = 11.6173 Å
α = 68.33°, β = 84.71°, γ = 76.16°
Space group P-1 (No. 2)
One atom of each set of equivalent atoms:
1 Mg 0.1702 0.3050 0.1415 x2
2 Re 0.2150 0.6469 0.5305 x2
3 Re 0.3920 0.3528 0.3829 x2
4 Re 0.4826 0.2564 0.6994 x2
5 S 0.2481 0.3480 0.5712 x2
6 S 0.2670 0.6494 0.3242 x2
7 S 0.3784 0.5334 0.7129 x2
8 S 0.4011 0.8332 0.4675 x2
9 O 0.0118 0.9338 0.7398 x2
10 O 0.0191 0.7462 0.5503 x2
11 O 0.0304 0.5255 0.8479 x2
12 O 0.0470 0.3504 0.9375 x2
13 O 0.0487 0.7360 0.0792 x2
14 O 0.1135 0.9936 0.7776 x2
15 O 0.1445 0.0641 0.1933 x2
16 O 0.3153 0.2663 0.2925 x2
17 O 0.3327 0.4596 0.0348 x2
18 O 0.4419 0.3413 0.0114 x2
19 O 0.4685 0.0914 0.8342 x2

---

Structure and simulated XRD peak list of MgTe4Mo3WS4 (a crystal structure in the Materials Project, relaxed with GGA-PBE; Cu Kα, 1.54184 Å).
Kinematic intensities with the Lorentz-polarization factor, no thermal factor.

Largest 8 diffraction maxima, sorted by position, 2θ = 10–80°:
Position (°2θ), I_rel
11.61, 100
13.94, 17
30.84, 60
36.24, 93
39.00, 21
43.89, 44
54.78, 28
67.46, 15

Structural model:
a = 3.3517 Å, b = 3.3517 Å, c = 38.1224 Å
α = 90.00°, β = 90.00°, γ = 120.00°
Space group P1 (No. 1)
One atom of each set of equivalent atoms:
1 Mg 0.0000 0.0000 0.0000 x1
2 Te 0.0042 0.9686 0.7338 x1
3 Te 0.0042 0.9686 0.8331 x1
4 Te 0.6709 0.3019 0.1701 x1
5 Te 0.6710 0.3019 0.2693 x1
6 Mo 0.0043 0.9686 0.2197 x1
7 Mo 0.6709 0.3020 0.4077 x1
8 Mo 0.6709 0.3019 0.7835 x1
9 W 0.0043 0.9686 0.5955 x1
10 S 0.0042 0.9686 0.3679 x1
11 S 0.0043 0.9686 0.4474 x1
12 S 0.6710 0.3019 0.5556 x1
13 S 0.6710 0.3019 0.6353 x1